Theoretical powder XRD pattern of MgFe4O4F4 for Cu Ka, from a cell relaxed with GGA+U.

Principal peaks in the range 10 to 90 degrees two-theta, sorted by position:
2θ (°)	I/Imax	h k l
18.4	36	0 0 2
20.7	36	0 1 -1
23.2	64	0 1 2
27.2	100	0 1 -2
27.8	26	0 0 3
30.4	62	0 1 3
33.4	81	1 1 0
33.9	54	1 0 2
34.4	97	0 2 1
35.4	29	1 -1 1
59.0	35	2 0 0
60.5	29	1 3 1

Structure:
a = 3.1340 Å, b = 5.2389 Å, c = 9.7442 Å
α = 81.05°, β = 88.99°, γ = 89.66°
Space group P1 (No. 1)
Inequivalent atoms, fractional coordinates:
Mg1 0.0000 0.0000 0.0000 x1
Fe1 0.0390 0.7271 0.7062 x1
Fe2 0.0414 0.8634 0.2804 x1
Fe3 0.5072 0.5133 0.0291 x1
Fe4 0.5500 0.2777 0.5367 x1
O1 0.0160 0.6978 0.8992 x1
O2 0.0471 0.0912 0.6239 x1
O3 0.5156 0.8049 0.1435 x1
O4 0.5440 0.5740 0.6397 x1
F1 0.0054 0.2626 0.1327 x1
F2 0.0532 0.4762 0.4135 x1
F3 0.5047 0.1983 0.9134 x1
F4 0.5612 0.0239 0.3909 x1

=====

Theoretical powder XRD pattern of MgFe8O14F2 for Cu Ka, from a cell relaxed with GGA+U.

Principal peaks in the range 10 to 90 degrees two-theta, sorted by position:
2θ (°)	I/Imax	h k l
26.0	100	1 -1 0
26.2	97	1 1 0
35.5	25	0 1 -4
35.6	52	1 0 -4
35.7	24	0 1 4
52.1	18	1 -2 4
52.4	45	1 2 -4
52.5	30	-1 2 4
52.8	31	1 2 4
53.4	19	2 -2 0
54.0	18	2 2 0
66.2	21	3 0 4

Structure:
a = 4.8204 Å, b = 4.8359 Å, c = 11.8316 Å
α = 90.41°, β = 90.10°, γ = 90.58°
Space group P1 (No. 1)
Inequivalent atoms, fractional coordinates:
Mg1 0.0000 0.0000 0.0000 x1
Fe1 0.0012 0.5011 0.9953 x1
Fe2 0.0052 0.5018 0.2422 x1
Fe3 0.0103 0.5034 0.5004 x1
Fe4 0.4752 0.0362 0.3713 x1
Fe5 0.5012 0.0067 0.8705 x1
Fe6 0.5017 0.0010 0.1276 x1
Fe7 0.5102 0.0091 0.6131 x1
Fe8 0.9738 0.4746 0.7433 x1
O1 0.1550 0.2724 0.8798 x1
O2 0.1604 0.2842 0.1119 x1
O3 0.1820 0.3299 0.3696 x1
O4 0.1910 0.3006 0.6225 x1
O5 0.3114 0.8221 0.4915 x1
O6 0.3158 0.8157 0.2463 x1
O7 0.3380 0.7913 0.0005 x1
O8 0.6633 0.2113 0.0022 x1
O9 0.6725 0.1887 0.7446 x1
O10 0.6781 0.2056 0.2455 x1
O11 0.6908 0.2055 0.4882 x1
O12 0.8109 0.6935 0.6200 x1
O13 0.8401 0.7179 0.8800 x1
O14 0.8414 0.7206 0.1132 x1
F1 0.3126 0.7847 0.7472 x1
F2 0.8082 0.7089 0.3672 x1

=====

Theoretical powder XRD pattern of MgFe8O14F2 for Cu Ka, from a cell relaxed with GGA+U.

Principal peaks in the range 10 to 90 degrees two-theta, sorted by position:
2θ (°)	I/Imax	h k l
26.4	55	1 0 2
28.3	100	1 2 0
34.2	22	2 0 0
34.5	84	1 0 -2
35.2	10	2 1 2
52.2	11	0 0 4
53.8	10	3 2 0
54.2	25	1 4 2
54.4	13	2 0 4
54.5	12	0 4 0
58.5	17	-2 2 2
58.6	14	2 4 0

Structure:
a = 5.6458 Å, b = 7.0258 Å, c = 7.4387 Å
α = 78.53°, β = 71.74°, γ = 75.01°
Space group P1 (No. 1)
Inequivalent atoms, fractional coordinates:
Mg1 0.0000 0.0000 0.0000 x1
Fe1 0.3358 0.2988 0.5985 x1
Fe2 0.3487 0.3354 0.1028 x1
Fe3 0.4175 0.8065 0.6107 x1
Fe4 0.4370 0.8091 0.1087 x1
Fe5 0.7799 0.1193 0.7232 x1
Fe6 0.8675 0.5567 0.8633 x1
Fe7 0.8837 0.5644 0.3571 x1
Fe8 0.9184 0.0532 0.3628 x1
O1 0.0148 0.4963 0.0863 x1
O2 0.0443 0.8020 0.2516 x1
O3 0.0921 0.9800 0.5658 x1
O4 0.2167 0.3864 0.3738 x1
O5 0.2215 0.0883 0.1520 x1
O6 0.3198 0.8421 0.8645 x1
O7 0.4701 0.2695 0.8416 x1
O8 0.5481 0.5369 0.0483 x1
O9 0.5489 0.7405 0.3456 x1
O10 0.5808 0.0353 0.5611 x1
O11 0.7390 0.3165 0.4701 x1
O12 0.7402 0.6318 0.6278 x1
O13 0.7654 0.8720 0.9200 x1
O14 0.9965 0.2617 0.7943 x1
F1 0.2127 0.5799 0.6719 x1
F2 0.6960 0.1469 0.1707 x1

=====

Theoretical powder XRD pattern of MgFe8O14F2 for Cu Ka, from a cell relaxed with GGA+U.

Principal peaks in the range 10 to 90 degrees two-theta, sorted by position:
2θ (°)	I/Imax	h k l
23.9	100	1 0 -1
26.5	97	1 2 1
35.3	18	0 2 2
35.8	40	1 -2 1
36.0	23	2 0 2
36.3	20	0 2 -2
39.8	14	0 1 -3
50.4	19	3 0 1
53.3	16	3 2 3
53.7	15	1 4 -1
54.5	15	2 4 2
64.7	14	2 -2 4

Structure:
a = 5.7458 Å, b = 7.3152 Å, c = 7.6850 Å
α = 82.63°, β = 71.05°, γ = 71.24°
Space group P1 (No. 1)
Inequivalent atoms, fractional coordinates:
Mg1 0.0000 0.0000 0.0000 x1
Fe1 0.0668 0.3723 0.6650 x1
Fe2 0.1391 0.8468 0.6243 x1
Fe3 0.3835 0.5903 0.8632 x1
Fe4 0.4800 0.1133 0.8253 x1
Fe5 0.5516 0.8889 0.1957 x1
Fe6 0.6348 0.3903 0.1319 x1
Fe7 0.8876 0.1250 0.3844 x1
Fe8 0.9576 0.6015 0.3281 x1
O1 0.0494 0.7611 0.8710 x1
O2 0.0691 0.6180 0.5360 x1
O3 0.1774 0.1025 0.7417 x1
O4 0.2372 0.9513 0.3863 x1
O5 0.2834 0.5330 0.1220 x1
O6 0.3141 0.3790 0.7788 x1
O7 0.4699 0.7109 0.6323 x1
O8 0.6101 0.1100 0.0319 x1
O9 0.6977 0.6111 0.2165 x1
O10 0.7244 0.4576 0.8607 x1
O11 0.7949 0.0171 0.6349 x1
O12 0.8522 0.8849 0.2727 x1
O13 0.9485 0.3519 0.4626 x1
O14 0.9711 0.2193 0.1389 x1
F1 0.3919 0.8735 0.9855 x1
F2 0.5192 0.2714 0.3889 x1

=====

Theoretical powder XRD pattern of MgFe6O6F6 for Cu Ka, from a cell relaxed with GGA+U.

Principal peaks in the range 10 to 90 degrees two-theta, sorted by position:
2θ (°)	I/Imax	h k l
20.8	15	1 0 1
23.8	100	1 1 1
25.7	83	-1 1 1
34.3	24	0 0 3
34.5	23	1 1 -2
34.8	46	0 2 -1
35.1	23	1 -1 2
49.2	21	2 2 -1
49.8	15	2 0 3
52.2	17	2 -2 1
61.7	16	0 2 -4
61.8	15	0 2 5

Structure:
a = 5.0430 Å, b = 5.9438 Å, c = 7.9793 Å
α = 79.29°, β = 88.10°, γ = 85.78°
Space group P1 (No. 1)
Inequivalent atoms, fractional coordinates:
Mg1 0.0000 0.0000 0.0000 x1
Fe1 0.0432 0.5226 0.9799 x1
Fe2 0.0653 0.8954 0.6468 x1
Fe3 0.4590 0.3597 0.6457 x1
Fe4 0.4911 0.0108 0.9723 x1
Fe5 0.5212 0.6608 0.2713 x1
Fe6 0.8532 0.1590 0.3227 x1
O1 0.2121 0.5872 0.7364 x1
O2 0.2513 0.0935 0.7654 x1
O3 0.2751 0.7418 0.0879 x1
O4 0.7184 0.9512 0.1890 x1
O5 0.7609 0.1247 0.5548 x1
O6 0.7806 0.4526 0.1892 x1
F1 0.1794 0.9331 0.4083 x1
F2 0.2006 0.2053 0.1027 x1
F3 0.3027 0.4091 0.4141 x1
F4 0.6595 0.6227 0.5137 x1
F5 0.7145 0.2900 0.8630 x1
F6 0.8060 0.8233 0.8602 x1

=====

Theoretical powder XRD pattern of MgFe10O16F4 for Cu Ka, from a cell relaxed with GGA+U.

Principal peaks in the range 10 to 90 degrees two-theta, sorted by position:
2θ (°)	I/Imax	h k l
26.0	94	-1 1 1
26.5	100	1 1 1
35.1	25	1 -1 4
35.3	25	1 1 -4
35.5	26	0 2 -3
35.8	25	0 0 5
36.6	19	2 0 0
52.4	42	1 -3 2
53.2	17	1 3 -2
53.5	28	1 1 6
54.7	18	2 2 2
62.3	18	0 2 -8

Structure:
a = 4.9068 Å, b = 5.5890 Å, c = 12.7711 Å
α = 101.28°, β = 90.12°, γ = 91.17°
Space group P1 (No. 1)
Inequivalent atoms, fractional coordinates:
Mg1 0.0000 0.0000 0.0000 x1
Fe1 0.0167 0.0043 0.5059 x1
Fe2 0.0447 0.7846 0.6980 x1
Fe3 0.0476 0.5331 0.8831 x1
Fe4 0.4805 0.9330 0.1172 x1
Fe5 0.4965 0.1133 0.9001 x1
Fe6 0.5169 0.7328 0.3128 x1
Fe7 0.5260 0.3020 0.6905 x1
Fe8 0.5398 0.5207 0.5031 x1
Fe9 0.9585 0.4676 0.1080 x1
Fe10 0.9834 0.1930 0.2963 x1
O1 0.1578 0.6938 0.0360 x1
O2 0.1770 0.8620 0.8460 x1
O3 0.2083 0.0583 0.6439 x1
O4 0.3081 0.9750 0.2545 x1
O5 0.3384 0.7700 0.4460 x1
O6 0.3399 0.1786 0.0417 x1
O7 0.3497 0.5639 0.6343 x1
O8 0.3619 0.3587 0.8300 x1
O9 0.6679 0.6678 0.1714 x1
O10 0.6862 0.4559 0.3612 x1
O11 0.6986 0.2442 0.5542 x1
O12 0.8262 0.9570 0.3700 x1
O13 0.8347 0.1455 0.1496 x1
O14 0.8448 0.3050 0.9563 x1
O15 0.8478 0.7444 0.5664 x1
O16 0.8513 0.5224 0.7499 x1
F1 0.1777 0.4790 0.2455 x1
F2 0.1946 0.2784 0.4427 x1
F3 0.6652 0.8191 0.9557 x1
F4 0.7033 0.0245 0.7581 x1

=====

Theoretical powder XRD pattern of MgFe6O6F6 for Cu Ka, from a cell relaxed with GGA+U.

Principal peaks in the range 10 to 90 degrees two-theta, sorted by position:
2θ (°)	I/Imax	h k l
23.7	68	0 1 3
27.2	100	0 1 -3
28.4	50	0 1 4
33.7	44	1 1 0
33.8	35	1 -1 0
34.5	73	1 0 -3
34.7	17	0 2 1
40.0	25	1 1 -3
53.4	44	0 2 7
53.5	16	1 -1 6
59.6	29	2 0 0
61.6	17	-1 3 1

Structure:
a = 3.1046 Å, b = 5.1760 Å, c = 14.4332 Å
α = 82.11°, β = 89.87°, γ = 89.68°
Space group P1 (No. 1)
Inequivalent atoms, fractional coordinates:
Mg1 0.0000 0.0000 0.0000 x1
Fe1 0.0300 0.8358 0.1969 x1
Fe2 0.0310 0.6959 0.8018 x1
Fe3 0.0351 0.8267 0.5048 x1
Fe4 0.5081 0.5099 0.0183 x1
Fe5 0.5344 0.3395 0.3548 x1
Fe6 0.5390 0.3186 0.6558 x1
O1 0.0154 0.6933 0.9318 x1
O2 0.0331 0.5253 0.2741 x1
O3 0.0349 0.1508 0.4119 x1
O4 0.0380 0.4897 0.6028 x1
O5 0.5249 0.8073 0.1004 x1
O6 0.5329 0.5348 0.7642 x1
F1 0.0076 0.2681 0.0873 x1
F2 0.0293 0.0650 0.7451 x1
F3 0.5002 0.1880 0.9402 x1
F4 0.5295 0.0267 0.2518 x1
F5 0.5356 0.0029 0.5910 x1
F6 0.5357 0.6317 0.4352 x1

=====

Theoretical powder XRD pattern of MgFe12O12F12 for Cu Ka, from a cell relaxed with GGA+U.

Principal peaks in the range 10 to 90 degrees two-theta, sorted by position:
2θ (°)	I/Imax	h k l
26.1	100	0 2 3
33.7	15	1 0 3
33.8	15	1 2 0
34.4	28	1 0 -3
41.9	9	0 4 -3
50.5	7	1 2 6
51.0	8	1 -2 6
51.6	13	1 2 -6
52.1	14	-1 2 6
53.6	14	0 4 6
58.9	9	2 0 0
65.6	7	1 0 -9

Structure:
a = 3.1359 Å, b = 9.6389 Å, c = 14.5410 Å
α = 89.96°, β = 88.63°, γ = 88.91°
Space group P1 (No. 1)
Inequivalent atoms, fractional coordinates:
Mg1 0.0000 0.0000 0.0000 x1
Fe1 0.1139 0.4857 0.1680 x1
Fe2 0.1190 0.9862 0.8033 x1
Fe3 0.1211 0.4798 0.8162 x1
Fe4 0.1449 0.9792 0.4912 x1
Fe5 0.1489 0.4971 0.5018 x1
Fe6 0.2473 0.9939 0.1887 x1
Fe7 0.5662 0.7192 0.0131 x1
Fe8 0.6086 0.3140 0.9914 x1
Fe9 0.6378 0.7443 0.6376 x1
Fe10 0.6415 0.2767 0.6503 x1
Fe11 0.6623 0.2523 0.3161 x1
Fe12 0.6711 0.7632 0.3306 x1
O1 0.0706 0.6491 0.0689 x1
O2 0.1129 0.3548 0.9133 x1
O3 0.1382 0.8450 0.5928 x1
O4 0.1450 0.3374 0.5844 x1
O5 0.1583 0.3455 0.2712 x1
O6 0.1763 0.8343 0.2652 x1
O7 0.5079 0.9156 0.0705 x1
O8 0.6233 0.4129 0.1112 x1
O9 0.6311 0.4092 0.7491 x1
O10 0.6402 0.5885 0.5539 x1
O11 0.6549 0.9010 0.4293 x1
O12 0.7252 0.0894 0.2309 x1
F1 0.0809 0.8356 0.9203 x1
F2 0.1283 0.6531 0.7198 x1
F3 0.1291 0.1706 0.0565 x1
F4 0.1361 0.1525 0.7196 x1
F5 0.1556 0.6471 0.3958 x1
F6 0.1619 0.1506 0.3976 x1
F7 0.5955 0.6061 0.8895 x1
F8 0.6056 0.0602 0.8958 x1
F9 0.6279 0.8794 0.7504 x1
F10 0.6450 0.0921 0.5597 x1
F11 0.6507 0.5967 0.2439 x1
F12 0.6529 0.3996 0.4271 x1

=====

Theoretical powder XRD pattern of MgFe6O11F for Cu Ka, from a cell relaxed with GGA+U.

Principal peaks in the range 10 to 90 degrees two-theta, sorted by position:
2θ (°)	I/Imax	h k l
24.6	100	0 0 3
26.1	98	2 0 -1
35.4	45	1 1 1
35.6	44	1 1 -2
35.8	22	2 0 2
39.5	28	0 1 3
51.0	28	1 1 -5
52.2	24	3 1 0
52.6	35	3 1 -3
53.6	18	4 0 -2
63.4	17	0 2 0
64.1	19	3 1 3

Structure:
a = 6.8385 Å, b = 2.9330 Å, c = 11.3094 Å
α = 90.00°, β = 106.41°, γ = 90.00°
Space group Pm (No. 6)
Inequivalent atoms, fractional coordinates:
Mg1 0.0000 0.0000 0.0000 x1
Fe1 0.1603 0.0000 0.8001 x1
Fe2 0.3329 0.5000 0.2050 x1
Fe3 0.4920 0.0000 0.5124 x1
Fe4 0.6346 0.5000 0.8172 x1
Fe5 0.8564 0.0000 0.2148 x1
Fe6 0.9912 0.5000 0.5095 x1
O1 0.0089 0.5000 0.8715 x1
O2 0.0321 0.0000 0.6262 x1
O3 0.2962 0.0000 0.0916 x1
O4 0.3077 0.5000 0.5168 x1
O5 0.3473 0.5000 0.8151 x1
O6 0.3802 0.0000 0.3194 x1
O7 0.6107 0.0000 0.7025 x1
O8 0.6730 0.5000 0.5029 x1
O9 0.6989 0.0000 0.9334 x1
O10 0.9422 0.0000 0.3841 x1
O11 0.9924 0.5000 0.1474 x1
F1 0.6449 0.5000 0.1944 x1

=====

Theoretical powder XRD pattern of MgFe4O4F4 for Cu Ka, from a cell relaxed with GGA+U.

Principal peaks in the range 10 to 90 degrees two-theta, sorted by position:
2θ (°)	I/Imax	h k l
22.7	92	1 0 1
23.9	100	1 0 -1
24.6	78	-1 1 1
29.8	48	0 1 -1
33.3	45	1 1 2
33.8	35	1 2 1
35.9	38	2 1 0
36.8	42	2 -1 0
38.1	32	1 2 2
49.5	38	1 -2 1
53.3	24	-3 1 1
64.7	24	2 -3 0

Structure:
a = 5.6626 Å, b = 5.8257 Å, c = 5.8985 Å
α = 61.45°, β = 85.89°, γ = 86.47°
Space group P1 (No. 1)
Inequivalent atoms, fractional coordinates:
Mg1 0.0000 0.0000 0.0000 x1
Fe1 0.0964 0.7330 0.5770 x1
Fe2 0.4147 0.2475 0.0753 x1
Fe3 0.5707 0.7612 0.9164 x1
Fe4 0.8921 0.2860 0.4139 x1
O1 0.1217 0.0781 0.2774 x1
O2 0.3747 0.6203 0.7582 x1
O3 0.6227 0.4322 0.1981 x1
O4 0.8741 0.8950 0.7372 x1
F1 0.0956 0.6326 0.2774 x1
F2 0.3290 0.0567 0.8369 x1
F3 0.6679 0.9422 0.1398 x1
F4 0.9252 0.3802 0.7350 x1